Calculated powder X-ray diffraction pattern of Sr4MgMn2Ga2O11 for Cu Kα X-rays, from a cell relaxed with GGA+U.
Lines closer than 0.1° are merged.

a b c (Å): 8.9281 5.8765 8.8348
angles (deg): 71.54 38.63 69.83
Atoms (fractional coordinates):
Sr: 0.1355 0.8645 0.1355
Sr: 0.3652 0.6656 0.3344
Sr: 0.6656 0.3652 0.6348
Sr: 0.8645 0.1355 0.8645
Mg: 0.6927 0.6927 0.3073
Mn: 0.2582 0.2582 0.2418
Mn: 0.7582 0.7582 0.7418
Ga: 0.0938 0.4779 0.9062
Ga: 0.4779 0.0938 0.5221
O: 0.0078 0.0078 0.4922
O: 0.0233 0.4855 0.5145
O: 0.0376 0.4904 0.1576
O: 0.1615 0.1615 0.8385
O: 0.3515 0.6429 0.6485
O: 0.4855 0.0233 0.9767
O: 0.4904 0.0376 0.3144
O: 0.5078 0.5078 0.9922
O: 0.6429 0.3515 0.3571
O: 0.6856 0.8424 0.5096
O: 0.8424 0.6856 0.9624

Top 6 peaks for 10° ≤ 2θ ≤ 80°, in order of rising 2θ:
2θ = 30.46°, d = 2.935 Å, I = 100; 2θ = 31.00°, d = 2.885 Å, I = 89; 2θ = 31.73°, d = 2.820 Å, I = 76; 2θ = 42.50°, d = 2.127 Å, I = 38; 2θ = 54.00°, d = 1.698 Å, I = 38; 2θ = 55.39°, d = 1.659 Å, I = 39